(1)
PrCuPdAu: calculated powder X-ray diffraction pattern (Cu Kα, 1.54184 Å), based on a cell relaxed with GGA-PBE.

The 10 most intense peaks (2θ from 10° to 90°), sorted by position:
2θ/deg  I (rel.)  h k l
23.9  43.1  1 1 0
33.8  98.1  1 1 1
38.6  58.1  2 0 1
40.6  100.0  0 2 0
53.8  25.8  2 2 -2
57.3  18.6  2 2 1
69.5  23.7  5 1 -3
71.8  17.3  0 2 3
72.5  18.7  5 1 0
73.9  16.9  6 0 -2

Structural model:
a = 7.692 Å, b = 4.445 Å, c = 5.526 Å
α = 90.00°, β = 117.73°, γ = 90.00°
Space group Cm (No. 8)
One atom of each set of equivalent atoms:
Pr1 0.000 0.000 0.000 x2
Cu1 0.487 0.000 0.461 x2
Pd1 0.287 0.500 0.361 x2
Au1 0.212 0.000 0.635 x2



(2)
TiCuPd2Au2: calculated powder X-ray diffraction pattern (Cu Kα, 1.54184 Å), based on a cell relaxed with GGA-PBE.

The 10 most intense peaks (2θ from 10° to 90°), sorted by position:
2θ/deg  I (rel.)  h k l
20.5  69.1  1 0 -1
35.2  30.1  0 2 1
37.2  40.0  1 2 0
38.9  100.0  1 2 -1
39.1  92.9  2 0 1
39.4  82.3  0 0 3
40.3  44.1  1 2 1
41.6  76.6  2 0 -2
42.2  54.4  0 2 2
47.2  50.0  1 2 2

Structural model:
a = 5.133 Å, b = 5.483 Å, c = 6.906 Å
α = 90.00°, β = 96.68°, γ = 90.00°
Space group P2_1/m (No. 11)
One atom of each set of equivalent atoms:
Ti1 0.182 0.250 0.169 x2
Cu1 0.468 0.750 0.488 x2
Pd1 0.027 0.250 0.488 x2
Pd2 0.159 0.750 0.139 x2
Au1 0.329 0.000 0.809 x4



(3)
Pm3Cu3Au: calculated powder X-ray diffraction pattern (Cu Kα, 1.54184 Å), based on a cell relaxed with GGA-PBE.

The 10 most intense peaks (2θ from 10° to 90°), sorted by position:
2θ/deg  I (rel.)  h k l
24.8  19.2  0 1 3
32.6  100.0  1 1 2
32.9  51.5  1 0 5
36.5  20.7  1 1 4
38.6  38.5  0 1 7
41.9  28.2  0 2 0
42.2  21.4  1 1 6
47.6  19.4  2 0 0
54.3  24.8  1 2 5
62.9  17.9  2 1 7

Structural model:
a = 3.822 Å, b = 4.314 Å, c = 19.400 Å
α = 90.00°, β = 90.00°, γ = 90.00°
Space group Imm2 (No. 44)
One atom of each set of equivalent atoms:
Pm1 0.000 0.000 0.000 x2
Pm2 0.000 0.000 0.370 x2
Pm3 0.000 0.500 0.180 x2
Cu1 0.000 0.000 0.546 x2
Cu2 0.000 0.000 0.830 x2
Cu3 0.000 0.500 0.614 x2
Au1 0.000 0.500 0.748 x2